No. 1
Theoretical powder X-ray diffraction pattern of Tl4BiPt2 for Cu Kα, from DFT lattice parameters and positions (GGA-PBE).

Unit cell a=5.140 b=4.427 c=8.237 alpha=90.00 beta=96.83 gamma=90.00
Space group P2/m (No. 10)
Symmetry-distinct sites (fractional):
Tl 0.233 0.000 0.362 (multiplicity 2)
Tl 0.260 0.500 0.709 (multiplicity 2)
Bi 0.500 0.000 0.000 (multiplicity 1)
Pt 0.203 0.500 0.121 (multiplicity 2)

Top 12 peaks for 10 to 90 degrees two-theta, sorted by position:
Position (°2θ), intensity, h k l
29.63, 60, 1 1 1
29.74, 21, 0 1 2
33.26, 100, 1 1 -2
35.17, 24, 2 0 0
35.99, 29, 1 1 2
38.79, 13, 0 1 3
39.29, 35, 1 0 3
40.77, 51, 0 2 0
43.49, 18, 2 1 1
54.91, 14, 2 2 0
57.91, 25, 1 2 3
60.32, 14, 0 1 5

---

No. 2
Theoretical powder X-ray diffraction pattern of Th3Hg2Te6 for Cu Kα, from DFT lattice parameters and positions (GGA-PBE).

Unit cell a=7.827 b=13.557 c=9.934 alpha=90.00 beta=105.24 gamma=90.00
Space group C2/m (No. 12)
Symmetry-distinct sites (fractional):
Th 0.000 0.000 0.000 (multiplicity 2)
Th 0.000 0.333 0.000 (multiplicity 4)
Hg 0.000 0.167 0.500 (multiplicity 4)
Te 0.228 0.167 0.184 (multiplicity 8)
Te 0.229 0.500 0.184 (multiplicity 4)

Top 12 peaks for 10 to 90 degrees two-theta, sorted by position:
Position (°2θ), intensity, h k l
25.92, 100, 1 3 1
31.58, 16, 1 3 2
33.86, 35, 2 0 2
38.87, 10, 1 3 3
39.90, 38, 0 6 0
41.55, 11, 2 0 3
48.20, 19, 4 0 0
50.16, 11, 2 0 4
53.30, 10, 2 6 2
64.29, 16, 4 6 0
68.61, 9, 5 3 1
72.46, 17, 6 0 -2

---

Please write out number 1 again, unchanged.
Theoretical powder X-ray diffraction pattern of Tl4BiPt2 for Cu Kα, from DFT lattice parameters and positions (GGA-PBE).

Unit cell a=5.140 b=4.427 c=8.237 alpha=90.00 beta=96.83 gamma=90.00
Space group P2/m (No. 10)
Symmetry-distinct sites (fractional):
Tl 0.233 0.000 0.362 (multiplicity 2)
Tl 0.260 0.500 0.709 (multiplicity 2)
Bi 0.500 0.000 0.000 (multiplicity 1)
Pt 0.203 0.500 0.121 (multiplicity 2)

Top 12 peaks for 10 to 90 degrees two-theta, sorted by position:
Position (°2θ), intensity, h k l
29.63, 60, 1 1 1
29.74, 21, 0 1 2
33.26, 100, 1 1 -2
35.17, 24, 2 0 0
35.99, 29, 1 1 2
38.79, 13, 0 1 3
39.29, 35, 1 0 3
40.77, 51, 0 2 0
43.49, 18, 2 1 1
54.91, 14, 2 2 0
57.91, 25, 1 2 3
60.32, 14, 0 1 5

---

> What is the formula in the first record?

Tl4BiPt2